No. 1
Starting from a PBE-relaxed structure, the powder diffractogram of Pr12Nd7Th was computed for copper Kα.
Lines closer than 0.1° are merged.

Structural model:
```
data_Pr12Nd7Th
_cell_length_a 12.7427
_cell_length_b 12.7427
_cell_length_c 15.3483
_cell_angle_alpha 90.00
_cell_angle_beta 90.00
_cell_angle_gamma 120.00
_space_group_name_H-M_alt 'R -3'
_space_group_IT_number 148
_space_group_name_Hall '-R 3'
loop_
_atom_site_label
_atom_site_type_symbol
_atom_site_fract_x
_atom_site_fract_y
_atom_site_fract_z
Pr1 Pr 0.0268 0.4445 0.2188
Pr2 Pr 0.0717 0.8169 0.9067
Nd1 Nd 0.0000 0.0000 0.0000
Nd2 Nd 0.0626 0.1859 0.3069
Th1 Th 0.0000 0.0000 0.5000
```

Top 12 peaks for 10 to 90 degrees two-theta, in order of falling intensity:
Position (°2θ)  d/Å  I_rel  (hkl)
29.76  3.002  100  4 -3 1
31.47  2.843  96  3 1 2
29.92  2.987  53  0 3 3
31.69  2.824  51  3 -1 4
30.22  2.957  37  0 1 5
28.33  3.150  29  0 2 4
51.75  1.766  26  2 5 0
54.92  1.672  23  7 -6 1
52.17  1.753  18  5 -4 6
37.90  2.374  17  2 -1 6
33.40  2.682  15  2 0 5
52.50  1.743  15  3 -2 8

***

No. 2
Starting from a PBE-relaxed structure, the powder diffractogram of Pr8Nd4Th was computed for copper Kα.
Lines closer than 0.1° are merged.

Structural model:
```
data_Pr8Nd4Th
_cell_length_a 11.9528
_cell_length_b 11.9528
_cell_length_c 11.8863
_cell_angle_alpha 90.00
_cell_angle_beta 90.00
_cell_angle_gamma 120.00
_space_group_name_H-M_alt 'R -3 m'
_space_group_IT_number 166
_space_group_name_Hall '-R 3 2"'
loop_
_atom_site_label
_atom_site_type_symbol
_atom_site_fract_x
_atom_site_fract_y
_atom_site_fract_z
Pr1 Pr 0.0000 0.0000 0.2403
Pr2 Pr 0.0002 0.5001 0.3302
Nd1 Nd 0.0000 0.0000 0.0000
Nd2 Nd 0.0000 0.5000 0.0000
Th1 Th 0.0000 0.0000 0.5000
```

Top 12 peaks for 10 to 90 degrees two-theta, in order of falling intensity:
Position (°2θ)  d/Å  I_rel  (hkl)
29.90  2.988  100  2 2 0
37.71  2.386  38  2 2 3
22.44  3.962  24  0 0 3
27.00  3.302  21  1 1 3
53.08  1.725  20  6 0 0
55.67  1.651  18  2 2 6
62.13  1.494  13  4 4 0
34.47  2.602  11  3 0 3
38.03  2.366  11  2 1 4
58.34  1.582  11  6 0 3
86.09  1.129  10  8 2 0
46.26  1.962  10  4 1 3

***

No. 3
Starting from a PBE-relaxed structure, the powder diffractogram of PrNdTm5Th2 was computed for copper Kα.
Lines closer than 0.1° are merged.

Structural model:
```
data_PrNdTm5Th2
_cell_length_a 8.887
_cell_length_b 8.887
_cell_length_c 15.069
_cell_angle_alpha 90.00
_cell_angle_beta 90.00
_cell_angle_gamma 90.00
_space_group_name_H-M_alt 'I 4/m c m'
_space_group_IT_number 140
_space_group_name_Hall '-I 4 2c'
loop_
_atom_site_label
_atom_site_type_symbol
_atom_site_fract_x
_atom_site_fract_y
_atom_site_fract_z
Pr1 Pr 0.000 0.000 0.250
Nd1 Nd 0.000 0.500 0.250
Tm1 Tm 0.000 0.000 0.000
Tm2 Tm 0.206 0.294 0.136
Th1 Th 0.118 0.382 0.500
```

Top 12 peaks for 10 to 90 degrees two-theta, in order of falling intensity:
Position (°2θ)  d/Å  I_rel  (hkl)
31.12  2.874  100  2 0 4
28.64  3.117  78  2 1 3
28.40  3.142  52  2 2 0
36.95  2.433  30  3 2 1
42.39  2.132  29  4 0 2
37.45  2.401  22  2 1 5
31.84  2.810  22  3 1 0
52.03  1.758  19  4 2 4
34.05  2.633  18  3 1 2
79.25  1.209  16  6 1 7
48.32  1.884  15  0 0 8
64.03  1.454  13  6 1 1